Diffraction record for Li2CaSe. The X-ray diffraction stick pattern is calculated, not measured: it uses a cell relaxed with PBE and Cu Kα, 1.54184 Å.
Intensities are scaled so that the largest is 100.

Cell and atoms:
Unit cell a=3.870 b=3.966 c=6.318 alpha=90.00 beta=107.21 gamma=90.00
Element x y z (fractional)
Li 0.000 0.000 0.000
Li 0.468 0.500 0.935
Ca 0.722 0.000 0.460
Se 0.126 0.500 0.259

Most intense lines, 2θ = 10–90°, by angle:
(0 0 1), 14.68 deg, d = 6.035 Å, I 100; (0 1 1), 26.90 deg, d = 3.315 Å, I 30; (1 0 1), 31.91 deg, d = 2.804 Å, I 17; (1 0 -2), 32.27 deg, d = 2.774 Å, I 17; (1 1 0), 33.13 deg, d = 2.704 Å, I 38; (1 1 -1), 33.24 deg, d = 2.695 Å, I 37; (0 1 2), 37.45 deg, d = 2.402 Å, I 29; (1 1 1), 39.35 deg, d = 2.290 Å, I 14; (1 1 -2), 39.65 deg, d = 2.273 Å, I 13; (0 1 3), 50.89 deg, d = 1.794 Å, I 12